Theoretical powder X-ray diffraction pattern of AlMo4N3 for λ = 1.5418 Å (Cu Kα), from a crystal structure in OQMD, relaxed with PBE.
Kinematic intensities with the Lorentz-polarization factor, no thermal factor.

Crystal structure
```
AlMo4N3
1.0
2.843 0.000 0.000
-1.422 2.463 0.000
0.000 0.000 26.134
Al Mo N
2 8 6
direct
0.333 0.667 0.250
0.667 0.333 0.750
0.000 0.000 0.165
0.000 0.000 0.335
0.000 0.000 0.665
0.000 0.000 0.835
0.333 0.667 0.056
0.333 0.667 0.444
0.667 0.333 0.556
0.667 0.333 0.944
0.000 0.000 0.000
0.000 0.000 0.500
0.333 0.667 0.613
0.333 0.667 0.887
0.667 0.333 0.113
0.667 0.333 0.387
```

Peak list (10 most intense, 2θ from 10° to 90°, by intensity)
two_theta  Rel. int.  h k l
42.2  100  1 0 6
40.5  58  1 0 5
65.7  42  1 1 0
37.2  40  1 0 2
34.3  33  0 0 10
56.4  33  1 0 12
27.3  30  0 0 8
76.2  20  1 1 10
39.1  19  1 0 4
38.0  19  1 0 3